1.
# Sr2PrNbO6
Theoretical XRD peak list, Cu Kα (λ = 1.5418 Å). Input: a cell relaxed with GGA-PBE.
No peak broadening, texture or thermal motion is included.

Atomic structure:
```
Sr2PrNbO6
1.0
8.551 0.000 0.000
0.000 8.551 0.000
0.000 0.000 8.551
Sr Pr Nb O
8 4 4 24
direct
0.250 0.250 0.250 Sr
0.250 0.250 0.750 Sr
0.250 0.750 0.250 Sr
0.250 0.750 0.750 Sr
0.750 0.250 0.250 Sr
0.750 0.250 0.750 Sr
0.750 0.750 0.250 Sr
0.750 0.750 0.750 Sr
0.000 0.000 0.000 Pr
0.000 0.500 0.500 Pr
0.500 0.000 0.500 Pr
0.500 0.500 0.000 Pr
0.000 0.000 0.500 Nb
0.000 0.500 0.000 Nb
0.500 0.000 0.000 Nb
0.500 0.500 0.500 Nb
0.037 0.547 0.770 O
0.037 0.953 0.730 O
0.047 0.230 0.537 O
0.047 0.270 0.963 O
0.230 0.537 0.047 O
0.230 0.963 0.453 O
0.270 0.537 0.453 O
0.270 0.963 0.047 O
0.453 0.230 0.963 O
0.453 0.270 0.537 O
0.463 0.547 0.730 O
0.463 0.953 0.770 O
0.537 0.047 0.230 O
0.537 0.453 0.270 O
0.547 0.730 0.463 O
0.547 0.770 0.037 O
0.730 0.037 0.953 O
0.730 0.463 0.547 O
0.770 0.037 0.547 O
0.770 0.463 0.953 O
0.953 0.730 0.037 O
0.953 0.770 0.463 O
0.963 0.047 0.270 O
0.963 0.453 0.230 O
```

Main lines, in order of rising 2θ (2θ from 10° to 80°):
18.0 deg, 4.937 Å, intensity 1.5
20.8 deg, 4.276 Å, intensity 6.6
29.5 deg, 3.023 Å, intensity 100.0
34.8 deg, 2.578 Å, intensity 2.4
42.3 deg, 2.138 Å, intensity 28.6
47.6 deg, 1.912 Å, intensity 2.5
52.4 deg, 1.746 Å, intensity 45.4
61.3 deg, 1.512 Å, intensity 16.5
69.5 deg, 1.352 Å, intensity 18.3
77.3 deg, 1.234 Å, intensity 5.2

2.
# Na2Gd2MgTi3O10
Theoretical XRD peak list, Cu Kα (λ = 1.5418 Å). Input: a cell relaxed with GGA-PBE.
No peak broadening, texture or thermal motion is included.

Atomic structure:
```
Na2Gd2MgTi3O10
1.0
-1.953 1.953 15.709
1.953 -1.953 15.709
1.953 1.953 -15.709
Na Gd Mg Ti O
2 2 1 3 10
direct
0.000 0.000 0.000 Na
0.432 0.432 0.000 Na
0.118 0.118 0.000 Gd
0.314 0.314 0.000 Gd
0.215 0.215 0.000 Mg
0.561 0.561 0.000 Ti
0.717 0.717 0.000 Ti
0.871 0.871 0.000 Ti
0.077 0.577 0.500 O
0.216 0.716 0.500 O
0.355 0.855 0.500 O
0.505 0.505 0.000 O
0.577 0.077 0.500 O
0.650 0.650 0.000 O
0.716 0.216 0.500 O
0.781 0.781 0.000 O
0.855 0.355 0.500 O
0.927 0.927 0.000 O
```

Main lines, in order of rising 2θ (2θ from 10° to 80°):
11.3 deg, 7.854 Å, intensity 86.5
22.9 deg, 3.875 Å, intensity 29.4
26.9 deg, 3.317 Å, intensity 100.0
30.3 deg, 2.946 Å, intensity 29.9
32.4 deg, 2.761 Å, intensity 73.7
34.5 deg, 2.603 Å, intensity 69.8
39.1 deg, 2.305 Å, intensity 24.6
43.6 deg, 2.074 Å, intensity 30.9
46.5 deg, 1.953 Å, intensity 49.7
54.5 deg, 1.683 Å, intensity 27.4

3.
# Er17Te3Ru6
Theoretical XRD peak list, Cu Kα (λ = 1.5418 Å). Input: a cell relaxed with GGA-PBE.
No peak broadening, texture or thermal motion is included.

Atomic structure:
```
Er17Te3Ru6
1.0
3.989 0.000 0.000
0.007 16.263 0.000
1.990 1.915 20.341
Er Te Ru
34 6 12
direct
0.000 0.000 0.000 Er
0.000 0.500 0.000 Er
0.089 0.267 0.820 Er
0.092 0.772 0.813 Er
0.131 0.097 0.732 Er
0.131 0.598 0.739 Er
0.176 0.291 0.648 Er
0.184 0.780 0.630 Er
0.269 0.584 0.462 Er
0.272 0.069 0.458 Er
0.300 0.875 0.403 Er
0.305 0.400 0.392 Er
0.357 0.079 0.289 Er
0.362 0.578 0.277 Er
0.443 0.891 0.116 Er
0.444 0.390 0.116 Er
0.474 0.666 0.051 Er
0.475 0.164 0.054 Er
0.525 0.836 0.946 Er
0.526 0.334 0.949 Er
0.556 0.610 0.884 Er
0.557 0.109 0.884 Er
0.638 0.422 0.723 Er
0.643 0.921 0.711 Er
0.695 0.600 0.608 Er
0.700 0.125 0.597 Er
0.728 0.931 0.542 Er
0.731 0.416 0.538 Er
0.816 0.220 0.370 Er
0.824 0.709 0.352 Er
0.869 0.402 0.261 Er
0.869 0.903 0.268 Er
0.908 0.228 0.187 Er
0.911 0.733 0.180 Er
0.072 0.453 0.852 Te
0.078 0.954 0.849 Te
0.253 0.251 0.500 Te
0.747 0.749 0.500 Te
0.922 0.046 0.151 Te
0.928 0.547 0.148 Te
0.023 0.189 0.952 Ru
0.023 0.691 0.949 Ru
0.187 0.477 0.625 Ru
0.188 0.995 0.620 Ru
0.361 0.275 0.278 Ru
0.367 0.779 0.269 Ru
0.633 0.221 0.731 Ru
0.639 0.725 0.722 Ru
0.812 0.005 0.380 Ru
0.813 0.523 0.375 Ru
0.977 0.309 0.051 Ru
0.977 0.811 0.048 Ru
```

Main lines, in order of rising 2θ (2θ from 10° to 80°):
31.2 deg, 2.864 Å, intensity 98.2
31.4 deg, 2.847 Å, intensity 100.0
32.6 deg, 2.751 Å, intensity 81.4
32.8 deg, 2.728 Å, intensity 67.4
33.0 deg, 2.712 Å, intensity 89.8
33.7 deg, 2.657 Å, intensity 72.5
33.9 deg, 2.643 Å, intensity 55.7
34.1 deg, 2.629 Å, intensity 85.6
34.2 deg, 2.622 Å, intensity 82.3
45.5 deg, 1.995 Å, intensity 84.2